This entry pairs a crystal structure of Na3Be with its computed PXRD pattern. Radiation: Cu Kα (weighted mean of Kα1 and Kα2). Structure: a crystal structure in the Materials Project, relaxed with GGA-PBE.
Neutral-atom scattering factors, no anomalous dispersion.

Main lines, sorted by position (10 to 90 degrees two-theta):
| 2theta | Rel. int. | hkl |
| --- | --- | --- |
| 20.66 | 17 | 1 0 1 |
| 23.95 | 6 | 1 1 0 |
| 34.01 | 100 | 1 1 2 |
| 34.13 | 50 | 2 0 0 |
| 40.23 | 7 | 2 1 1 |
| 48.69 | 8 | 0 0 4 |
| 49.04 | 16 | 2 2 0 |
| 60.80 | 16 | 2 0 4 |
| 61.03 | 32 | 3 1 2 |
| 71.60 | 9 | 2 2 4 |
| 81.42 | 6 | 1 1 6 |
| 81.99 | 12 | 4 2 0 |

Structural model:
a b c (Å): 5.254 5.254 7.480
angles (deg): 90.00 90.00 90.00
Space group I4/mmm (No. 139)
Symmetry-distinct sites (fractional):
Na: 0.000 0.000 0.000 [2 per cell]
Na: 0.000 0.500 0.250 [4 per cell]
Be: 0.000 0.000 0.500 [2 per cell]

This entry pairs a crystal structure of Na2Be2O3 with its computed PXRD pattern. Radiation: Cu Kα (weighted mean of Kα1 and Kα2). Structure: a crystal structure in the Materials Project, relaxed with GGA-PBE.
Neutral-atom scattering factors, no anomalous dispersion.

Main lines, sorted by position (10 to 90 degrees two-theta):
| 2theta | Rel. int. | hkl |
| --- | --- | --- |
| 38.00 | 66 | 1 1 -2 |
| 38.50 | 64 | 0 2 1 |
| 39.94 | 40 | 1 2 -1 |
| 40.34 | 100 | 2 1 -1 |
| 42.20 | 19 | 2 0 -2 |
| 43.28 | 57 | 2 1 0 |
| 45.68 | 14 | 2 1 -2 |
| 46.87 | 73 | 1 2 1 |
| 48.40 | 47 | 1 0 2 |
| 54.18 | 44 | 1 1 -3 |
| 74.50 | 19 | 3 1 1 |
| 75.62 | 26 | 3 2 -3 |

Structural model:
a b c (Å): 4.943 5.312 5.361
angles (deg): 90.00 113.08 90.00
Space group P2_1/c (No. 14)
Symmetry-distinct sites (fractional):
Na: 0.190 0.128 0.428 [4 per cell]
Be: 0.329 0.603 0.569 [4 per cell]
O: 0.000 0.000 0.000 [2 per cell]
O: 0.410 0.646 0.291 [4 per cell]

This entry pairs a crystal structure of Na2Be2O3 with its computed PXRD pattern. Radiation: Cu Kα (weighted mean of Kα1 and Kα2). Structure: a crystal structure in the Materials Project, relaxed with GGA-PBE.
Neutral-atom scattering factors, no anomalous dispersion.

Main lines, sorted by position (10 to 90 degrees two-theta):
| 2theta | Rel. int. | hkl |
| --- | --- | --- |
| 18.88 | 32 | 1 0 0 |
| 20.36 | 23 | 0 1 1 |
| 22.53 | 100 | 1 1 0 |
| 24.49 | 52 | 0 2 0 |
| 32.23 | 62 | 1 2 -1 |
| 35.17 | 33 | 0 1 2 |
| 38.58 | 34 | 2 1 -1 |
| 40.75 | 46 | 0 3 1 |
| 43.39 | 40 | 1 0 2 |
| 44.42 | 23 | 2 2 -1 |
| 49.24 | 22 | 1 1 -3 |
| 56.63 | 12 | 0 2 3 |

Structural model:
a b c (Å): 4.962 7.269 5.754
angles (deg): 90.00 108.69 90.00
Space group P2_1/c (No. 14)
Symmetry-distinct sites (fractional):
Na: 0.222 0.140 0.113 [4 per cell]
Be: 0.204 0.517 0.013 [4 per cell]
O: 0.075 0.062 0.708 [4 per cell]
O: 0.500 0.000 0.500 [2 per cell]